Record 1
This entry pairs a crystal structure of Cs2Mn3Br9 with its computed powder diffractogram. Radiation: λ = 1.5418 Å (Cu Kα). Structure: the PBE geometry in Alexandria.

Most intense lines, 10 to 90 degrees two-theta, in order of falling intensity:
2θ = 29.87°, intensity 100, hkl 2 4 1; 2θ = 26.19°, intensity 87, hkl 2 4 -2; 2θ = 34.98°, intensity 59, hkl 4 0 -4; 2θ = 18.10°, intensity 55, hkl 0 0 2; 2θ = 27.29°, intensity 53, hkl 0 0 3; 2θ = 21.50°, intensity 46, hkl 1 3 -2; 2θ = 34.10°, intensity 45, hkl 1 5 2; 2θ = 29.50°, intensity 43, hkl 4 0 -1

Crystal structure
a b c (Å): 12.5131 18.1804 11.3265
angles (deg): 90.00 120.06 90.00
Space group C2/m (No. 12)
One atom of each set of equivalent atoms:
Cs 0.0756 0.1594 0.2974 [8 per cell]
Mn 0.1351 0.5000 0.8340 [4 per cell]
Mn 0.1755 0.3817 0.1892 [8 per cell]
Br 0.0000 0.2996 0.0000 [4 per cell]
Br 0.0360 0.4008 0.2908 [8 per cell]
Br 0.1823 0.2140 0.6551 [8 per cell]
Br 0.2027 0.0000 0.6826 [4 per cell]
Br 0.2435 0.1000 0.9770 [8 per cell]
Br 0.2469 0.0000 0.2847 [4 per cell]

***

Record 2
This entry pairs a crystal structure of HfSc5Pd6 with its computed powder diffractogram. Radiation: λ = 1.5418 Å (Cu Kα). Structure: the PBE geometry in Alexandria.

Most intense lines, 10 to 90 degrees two-theta, in order of falling intensity:
2θ = 38.37°, intensity 100, hkl 2 0 -2; 2θ = 69.38°, intensity 33, hkl 5 3 -3; 2θ = 55.38°, intensity 17, hkl 2 6 -2; 2θ = 82.17°, intensity 10, hkl 4 0 -4; 2θ = 26.87°, intensity 7, hkl 1 3 -1; 2θ = 14.76°, intensity 7, hkl 1 1 0; 2θ = 12.58°, intensity 5, hkl 0 2 0; 2θ = 23.22°, intensity 4, hkl 1 3 0

Crystal structure
a b c (Å): 8.1242 14.0741 4.6931
angles (deg): 90.00 125.23 90.00
Space group C2/m (No. 12)
One atom of each set of equivalent atoms:
Hf 0.0000 0.0000 0.0000 [2 per cell]
Sc 0.0000 0.1695 0.5000 [4 per cell]
Sc 0.0000 0.3337 0.0000 [4 per cell]
Sc 0.0000 0.5000 0.5000 [2 per cell]
Pd 0.2398 0.0000 0.7400 [4 per cell]
Pd 0.2456 0.1626 0.2456 [8 per cell]

***

Record 3
This entry pairs a crystal structure of Tb5Ho2Er12 with its computed powder diffractogram. Radiation: λ = 1.5418 Å (Cu Kα). Structure: the PBE geometry in Alexandria.

Most intense lines, 10 to 90 degrees two-theta, in order of falling intensity:
2θ = 32.83°, intensity 100, hkl 2 1 -2; 2θ = 32.12°, intensity 93, hkl -1 1 3; 2θ = 31.81°, intensity 93, hkl 1 2 1; 2θ = 32.74°, intensity 35, hkl 2 -2 1; 2θ = 31.33°, intensity 28, hkl 0 3 -2; 2θ = 33.39°, intensity 23, hkl 0 2 -4; 2θ = 29.52°, intensity 21, hkl 2 -1 1; 2θ = 33.93°, intensity 21, hkl 0 3 -3

Crystal structure
a b c (Å): 6.4334 8.7819 11.2845
angles (deg): 109.68 93.15 97.96
Space group P-1 (No. 2)
One atom of each set of equivalent atoms:
Tb 0.0000 0.0000 0.0000 [1 per cell]
Tb 0.1968 0.9877 0.6967 [2 per cell]
Tb 0.4856 0.6078 0.2804 [2 per cell]
Ho 0.2633 0.5536 0.5395 [2 per cell]
Er 0.0330 0.7412 0.3698 [2 per cell]
Er 0.0521 0.3438 0.2308 [2 per cell]
Er 0.2225 0.3998 0.9590 [2 per cell]
Er 0.2964 0.8259 0.1380 [2 per cell]
Er 0.3352 0.1281 0.4222 [2 per cell]
Er 0.4773 0.8024 0.8628 [2 per cell]

***

Record 4
This entry pairs a crystal structure of SmGe4Ru4 with its computed powder diffractogram. Radiation: λ = 1.5418 Å (Cu Kα). Structure: the PBE geometry in Alexandria.

Most intense lines, 10 to 90 degrees two-theta, in order of falling intensity:
2θ = 34.62°, intensity 100, hkl 2 1 1; 2θ = 35.75°, intensity 43, hkl 1 0 3; 2θ = 44.30°, intensity 28, hkl 2 0 3; 2θ = 41.89°, intensity 27, hkl 2 2 0; 2θ = 56.22°, intensity 25, hkl 3 0 3; 2θ = 62.21°, intensity 21, hkl 2 2 4; 2θ = 29.94°, intensity 20, hkl 1 1 2; 2θ = 60.73°, intensity 20, hkl 4 0 0

Crystal structure
a b c (Å): 6.1000 6.1000 8.2678
angles (deg): 90.00 90.00 90.00
Space group P4_2/nmc (No. 137, origin choice 2)
One atom of each set of equivalent atoms:
Sm 0.2500 0.7500 0.2500 [2 per cell]
Ge 0.0435 0.2500 0.0681 [8 per cell]
Ru 0.0114 0.2500 0.3674 [8 per cell]

***

Record 5
This entry pairs a crystal structure of Zn3Ni with its computed powder diffractogram. Radiation: λ = 1.5418 Å (Cu Kα). Structure: the PBE geometry in Alexandria.

Most intense lines, 10 to 90 degrees two-theta, in order of falling intensity:
2θ = 42.40°, intensity 100, hkl 2 1 0; 2θ = 46.68°, intensity 68, hkl 2 1 1; 2θ = 37.74°, intensity 32, hkl 2 0 0; 2θ = 74.48°, intensity 31, hkl 3 2 1; 2θ = 71.34°, intensity 19, hkl 3 2 0; 2θ = 80.62°, intensity 13, hkl 4 0 0; 2θ = 68.15°, intensity 8, hkl 2 2 2

Crystal structure
a b c (Å): 4.7667 4.7667 4.7667
angles (deg): 90.00 90.00 90.00
Space group Pm-3n (No. 223)
One atom of each set of equivalent atoms:
Zn 0.0000 0.2500 0.5000 [6 per cell]
Ni 0.0000 0.0000 0.0000 [2 per cell]

***

Record 6
This entry pairs a crystal structure of BiPb2Au2 with its computed powder diffractogram. Radiation: λ = 1.5418 Å (Cu Kα). Structure: the PBE geometry in Alexandria.

Most intense lines, 10 to 90 degrees two-theta, in order of falling intensity:
2θ = 31.64°, intensity 100, hkl 1 1 2; 2θ = 28.99°, intensity 92, hkl 3 1 -1; 2θ = 32.82°, intensity 85, hkl 3 1 -3; 2θ = 39.47°, intensity 81, hkl 0 2 0; 2θ = 32.23°, intensity 71, hkl 1 1 -3; 2θ = 37.08°, intensity 68, hkl 3 1 1; 2θ = 40.74°, intensity 48, hkl 5 1 -2; 2θ = 35.16°, intensity 46, hkl 4 0 -4

Crystal structure
a b c (Å): 12.7078 4.5662 10.9417
angles (deg): 90.00 122.36 90.00
Space group C2/m (No. 12)
One atom of each set of equivalent atoms:
Bi 0.1979 0.0000 0.3475 [4 per cell]
Pb 0.0286 0.5000 0.6832 [4 per cell]
Pb 0.2023 0.5000 0.0918 [4 per cell]
Au 0.0544 0.0000 0.9128 [4 per cell]
Au 0.1307 0.0000 0.5762 [4 per cell]

***

- Which formula does entry 6 have?
  BiPb2Au2